For Sr2B5H3O11, a GGA-PBE-relaxed structure gives the calculated XRD peak list in this record (Cu Ka).
Kinematic intensities with the Lorentz-polarization factor, no thermal factor.

Largest 10 diffraction maxima, in order of rising 2θ, 15 to 90 degrees two-theta:
15.4°, I = 81.4, hkl 0 1 0
17.1°, I = 64.6, hkl 1 1 1
21.1°, I = 52.1, hkl 0 1 2
22.6°, I = 42.3, hkl 0 1 -2
27.1°, I = 27.0, hkl 1 2 0
31.0°, I = 100.0, hkl 0 2 0
31.2°, I = 65.5, hkl 0 0 4
31.6°, I = 37.2, hkl 2 1 -2
42.4°, I = 36.8, hkl 3 1 1
46.1°, I = 28.2, hkl 0 2 -4

a b c (Å): 6.582 6.600 11.504
angles (deg): 85.96 88.71 61.26
Space group P1 (No. 1)
Asymmetric unit:
Sr 0.000 0.000 0.000 [1 per cell]
Sr 0.050 0.583 0.303 [1 per cell]
Sr 0.185 0.999 0.517 [1 per cell]
Sr 0.551 0.578 0.798 [1 per cell]
B 0.085 0.576 0.752 [1 per cell]
B 0.086 0.469 0.978 [1 per cell]
B 0.274 0.429 0.559 [1 per cell]
B 0.399 0.504 0.083 [1 per cell]
B 0.475 0.128 0.002 [1 per cell]
B 0.589 0.508 0.472 [1 per cell]
B 0.589 0.589 0.245 [1 per cell]
B 0.659 0.686 0.038 [1 per cell]
B 0.666 0.098 0.521 [1 per cell]
B 0.838 0.650 0.576 [1 per cell]
H 0.000 0.071 0.764 [1 per cell]
H 0.069 0.074 0.262 [1 per cell]
H 0.266 0.096 0.754 [1 per cell]
H 0.353 0.069 0.270 [1 per cell]
H 0.758 0.038 0.771 [1 per cell]
H 0.797 0.124 0.234 [1 per cell]
O 0.046 0.457 0.530 [1 per cell]
O 0.125 0.587 0.868 [1 per cell]
O 0.154 0.561 0.074 [1 per cell]
O 0.204 0.147 0.308 [1 per cell]
O 0.219 0.980 0.741 [1 per cell]
O 0.246 0.212 0.975 [1 per cell]
O 0.276 0.494 0.681 [1 per cell]
O 0.343 0.563 0.474 [1 per cell]
O 0.441 0.679 0.015 [1 per cell]
O 0.442 0.174 0.556 [1 per cell]
O 0.449 0.501 0.210 [1 per cell]
O 0.555 0.269 0.043 [1 per cell]
O 0.628 0.631 0.563 [1 per cell]
O 0.643 0.905 0.985 [1 per cell]
O 0.644 0.592 0.359 [1 per cell]
O 0.692 0.678 0.166 [1 per cell]
O 0.745 0.252 0.486 [1 per cell]
O 0.812 0.145 0.793 [1 per cell]
O 0.828 0.867 0.518 [1 per cell]
O 0.855 0.493 0.984 [1 per cell]
O 0.866 0.656 0.707 [1 per cell]
O 0.957 0.005 0.226 [1 per cell]